This entry pairs a crystal structure of CdSeS6 with its simulated PXRD pattern. Radiation: Cu Kα X-rays. Structure: a DFT-relaxed cell (PBE, Alexandria).
Peak positions follow from Bragg's law for the DFT cell and can differ from measured ones.

Structure:
a = 4.523 Å, b = 6.863 Å, c = 7.140 Å
α = 104.68°, β = 107.68°, γ = 102.33°
Fractional coordinates of all 8 atoms:
Cd: 0.000 0.000 0.000
Se: 0.500 0.500 0.500
S: 0.207 0.774 0.462
S: 0.250 0.386 0.126
S: 0.400 0.022 0.713
S: 0.600 0.978 0.287
S: 0.750 0.614 0.874
S: 0.793 0.226 0.538

Peak list (8 most intense, 2θ from 5° to 70°, sorted by position)
d [Å]	2θ (°)	I (rel.)	(hkl)
5.532	16.02	73	0 1 -1
4.253	20.89	100	1 0 -1
3.212	27.78	49	1 -1 1
3.196	27.91	39	0 0 2
3.150	28.33	42	0 2 0
2.943	30.37	63	1 1 -2
2.762	32.42	45	1 -2 1
2.242	40.22	46	-2 1 1